This entry pairs a crystal structure of Pm2Tm3Sc with its calculated X-ray powder pattern. Radiation: Cu Kα (weighted mean of Kα1 and Kα2). Structure: a cell relaxed with GGA-PBE.

Structure:
```
data_Pm2Tm3Sc
_chemical_formula_sum 'Pm4 Tm6 Sc2'
_space_group_name_H-M_alt 'P 1'
_space_group_IT_number 1
_space_group_name_Hall 'P 1'
_cell_length_a 7.833
_cell_length_b 7.833
_cell_length_c 11.097
_cell_angle_alpha 115.04
_cell_angle_beta 115.04
_cell_angle_gamma 36.80
loop_
_atom_site_label
_atom_site_type_symbol
_atom_site_fract_x
_atom_site_fract_y
_atom_site_fract_z
Pm1 Pm 0.038 0.038 0.375
Pm2 Pm 0.290 0.290 0.626
Pm3 Pm 0.710 0.710 0.374
Pm4 Pm 0.962 0.962 0.625
Tm1 Tm 0.126 0.126 0.124
Tm2 Tm 0.208 0.208 0.874
Tm3 Tm 0.456 0.456 0.122
Tm4 Tm 0.544 0.544 0.878
Tm5 Tm 0.792 0.792 0.126
Tm6 Tm 0.874 0.874 0.876
Sc1 Sc 0.376 0.376 0.374
Sc2 Sc 0.624 0.624 0.626
```

The 10 most intense peaks (2θ = 15–90°), low angle first:
31.26 deg, rel. 100
36.22 deg, rel. 34
36.33 deg, rel. 17
52.18 deg, rel. 24
52.27 deg, rel. 12
62.02 deg, rel. 14
62.13 deg, rel. 14
62.22 deg, rel. 14
65.22 deg, rel. 12
85.42 deg, rel. 9


This entry pairs a crystal structure of Pm2Tm5Sc with its calculated X-ray powder pattern. Radiation: Cu Kα (weighted mean of Kα1 and Kα2). Structure: a cell relaxed with GGA-PBE.

Structure:
```
data_Pm2Tm5Sc
_chemical_formula_sum 'Pm4 Tm10 Sc2'
_space_group_name_H-M_alt 'P 1'
_space_group_IT_number 1
_space_group_name_Hall 'P 1'
_cell_length_a 6.489
_cell_length_b 6.489
_cell_length_c 15.430
_cell_angle_alpha 90.00
_cell_angle_beta 90.00
_cell_angle_gamma 130.02
loop_
_atom_site_label
_atom_site_type_symbol
_atom_site_fract_x
_atom_site_fract_y
_atom_site_fract_z
Pm1 Pm 0.219 0.781 0.631
Pm2 Pm 0.219 0.781 0.869
Pm3 Pm 0.781 0.219 0.131
Pm4 Pm 0.781 0.219 0.369
Tm1 Tm 0.082 0.918 0.093
Tm2 Tm 0.082 0.918 0.407
Tm3 Tm 0.383 0.617 0.051
Tm4 Tm 0.383 0.617 0.449
Tm5 Tm 0.462 0.538 0.750
Tm6 Tm 0.538 0.462 0.250
Tm7 Tm 0.617 0.383 0.551
Tm8 Tm 0.617 0.383 0.949
Tm9 Tm 0.918 0.082 0.593
Tm10 Tm 0.918 0.082 0.907
Sc1 Sc 0.267 0.733 0.250
Sc2 Sc 0.733 0.267 0.750
```

The 10 most intense peaks (2θ = 15–90°), low angle first:
28.58 deg, rel. 17
29.31 deg, rel. 46
30.33 deg, rel. 15
30.96 deg, rel. 16
32.65 deg, rel. 65
33.05 deg, rel. 100
34.20 deg, rel. 31
55.73 deg, rel. 14
58.55 deg, rel. 20
62.63 deg, rel. 12


This entry pairs a crystal structure of PmTm12Sc2 with its calculated X-ray powder pattern. Radiation: Cu Kα (weighted mean of Kα1 and Kα2). Structure: a cell relaxed with GGA-PBE.

Structure:
```
data_PmTm12Sc2
_chemical_formula_sum 'Pm1 Tm12 Sc2'
_space_group_name_H-M_alt 'P 1'
_space_group_IT_number 1
_space_group_name_Hall 'P 1'
_cell_length_a 3.520
_cell_length_b 4.760
_cell_length_c 27.284
_cell_angle_alpha 90.00
_cell_angle_beta 93.69
_cell_angle_gamma 90.00
loop_
_atom_site_label
_atom_site_type_symbol
_atom_site_fract_x
_atom_site_fract_y
_atom_site_fract_z
Pm1 Pm 0.000 0.000 0.000
Tm1 Tm 0.067 0.000 0.132
Tm2 Tm 0.192 0.000 0.383
Tm3 Tm 0.276 0.500 0.553
Tm4 Tm 0.338 0.500 0.678
Tm5 Tm 0.400 0.500 0.803
Tm6 Tm 0.466 0.500 0.932
Tm7 Tm 0.534 0.500 0.068
Tm8 Tm 0.600 0.500 0.197
Tm9 Tm 0.662 0.500 0.322
Tm10 Tm 0.724 0.500 0.447
Tm11 Tm 0.808 0.000 0.617
Tm12 Tm 0.933 0.000 0.868
Sc1 Sc 0.131 0.000 0.259
Sc2 Sc 0.869 0.000 0.741
```

The 10 most intense peaks (2θ = 15–90°), low angle first:
31.66 deg, rel. 100
32.34 deg, rel. 93
35.52 deg, rel. 65
37.80 deg, rel. 36
51.96 deg, rel. 15
52.84 deg, rel. 42
62.20 deg, rel. 31
62.54 deg, rel. 28
66.02 deg, rel. 14
87.34 deg, rel. 22